(1)
This entry pairs a crystal structure of Pm2HgC with its computed powder diffraction line list. Radiation: λ = 1.5418 Å (Cu Kα). Structure: a GGA-PBE-relaxed structure.
Lines closer than 0.1° are merged.

Main lines, in order of falling intensity (5° ≤ 2θ ≤ 70°):
2θ/deg  I/Imax
31.59  100
33.49  99
60.65  46
49.42  46
32.91  43
28.17  37
28.88  24
56.72  20
61.02  18
60.31  18

Structure:
```
data_Pm2HgC
_space_group_name_H-M_alt 'R 3 m'
_space_group_IT_number 160
_space_group_name_Hall 'R 3 -2"'
_cell_length_a 3.6886
_cell_length_b 3.6886
_cell_length_c 24.4978
_cell_angle_alpha 90.00
_cell_angle_beta 90.00
_cell_angle_gamma 120.00
loop_
_atom_site_label
_atom_site_type_symbol
_atom_site_fract_x
_atom_site_fract_y
_atom_site_fract_z
Pm1 Pm 0.0000 0.0000 0.0000
Pm2 Pm 0.0000 0.0000 0.2176
Hg1 Hg 0.0000 0.0000 0.4424
C1 C 0.0000 0.0000 0.6082
```

(2)
This entry pairs a crystal structure of SbW4 with its computed powder diffraction line list. Radiation: λ = 1.5418 Å (Cu Kα). Structure: a GGA-PBE-relaxed structure.
Lines closer than 0.1° are merged.

Main lines, in order of falling intensity (5° ≤ 2θ ≤ 70°):
2θ/deg  I/Imax
42.89  100
29.97  67
53.20  18
62.27  17
21.07  13
36.92  6
57.85  3
48.25  3
66.52  2

Structure:
```
data_SbW4
_space_group_name_H-M_alt 'I m -3 m'
_space_group_IT_number 229
_space_group_name_Hall '-I 4 2 3'
_cell_length_a 5.9640
_cell_length_b 5.9640
_cell_length_c 5.9640
_cell_angle_alpha 90.00
_cell_angle_beta 90.00
_cell_angle_gamma 90.00
loop_
_atom_site_label
_atom_site_type_symbol
_atom_site_fract_x
_atom_site_fract_y
_atom_site_fract_z
Sb1 Sb 0.0000 0.0000 0.0000
W1 W 0.2500 0.2500 0.2500
```

(3)
This entry pairs a crystal structure of Li7NpO6 with its computed powder diffraction line list. Radiation: λ = 1.5418 Å (Cu Kα). Structure: a GGA-PBE-relaxed structure.
Lines closer than 0.1° are merged.

Main lines, in order of falling intensity (5° ≤ 2θ ≤ 70°):
2θ/deg  I/Imax
18.86  100
21.32  76
35.95  47
17.11  33
29.24  31
47.41  27
34.07  22
36.86  17
31.38  16
50.28  16

Structure:
```
data_Li7NpO6
_space_group_name_H-M_alt 'R 3'
_space_group_IT_number 146
_space_group_name_Hall 'R 3'
_cell_length_a 5.7016
_cell_length_b 5.7016
_cell_length_c 15.5494
_cell_angle_alpha 90.00
_cell_angle_beta 90.00
_cell_angle_gamma 120.00
loop_
_atom_site_label
_atom_site_type_symbol
_atom_site_fract_x
_atom_site_fract_y
_atom_site_fract_z
Li1 Li 0.0000 0.0000 0.0000
Li2 Li 0.0037 0.3866 0.4700
Li3 Li 0.0137 0.7264 0.5660
Np1 Np 0.0000 0.0000 0.3527
O1 O 0.0436 0.6766 0.1045
O2 O 0.0464 0.3444 0.9343
```

(4)
This entry pairs a crystal structure of Ac4PIrS2 with its computed powder diffraction line list. Radiation: λ = 1.5418 Å (Cu Kα). Structure: a GGA-PBE-relaxed structure.
Lines closer than 0.1° are merged.

Main lines, in order of falling intensity (5° ≤ 2θ ≤ 70°):
2θ/deg  I/Imax
28.70  100
41.19  75
28.91  49
24.56  36
25.13  35
12.21  22
51.59  22
50.35  21
40.30  20
41.76  19

Structure:
```
data_Ac4PIrS2
_space_group_name_H-M_alt 'P 1 2/m 1'
_space_group_IT_number 10
_cell_length_a 7.6269
_cell_length_b 4.3263
_cell_length_c 7.6288
_cell_angle_alpha 90.00
_cell_angle_beta 108.14
_cell_angle_gamma 90.00
loop_
_space_group_symop_operation_xyz
'x,y,z'
'-x,-y,-z'
'-x,y,-z'
'x,-y,z'
loop_
_atom_site_label
_atom_site_type_symbol
_atom_site_fract_x
_atom_site_fract_y
_atom_site_fract_z
Ac1 Ac 0.2373 0.0000 0.2406
Ac2 Ac 0.2376 0.5000 0.7539
P1 P 0.0000 0.0000 0.5000
Ir1 Ir 0.0000 0.5000 0.0000
S1 S 0.5000 0.0000 0.0000
S2 S 0.5000 0.5000 0.5000
```

(5)
This entry pairs a crystal structure of Ac9In3Co2 with its computed powder diffraction line list. Radiation: λ = 1.5418 Å (Cu Kα). Structure: a GGA-PBE-relaxed structure.
Lines closer than 0.1° are merged.

Main lines, in order of falling intensity (5° ≤ 2θ ≤ 70°):
2θ/deg  I/Imax
28.05  100
32.50  64
46.62  47
55.27  35
58.01  12
55.34  12
16.08  11
68.06  8
36.46  6
57.87  4

Structure:
```
data_Ac9In3Co2
_space_group_name_H-M_alt 'P -3 m 1'
_space_group_IT_number 164
_space_group_name_Hall '-P 3 2"'
_cell_length_a 7.7865
_cell_length_b 7.7865
_cell_length_c 9.5610
_cell_angle_alpha 90.00
_cell_angle_beta 90.00
_cell_angle_gamma 120.00
loop_
_atom_site_label
_atom_site_type_symbol
_atom_site_fract_x
_atom_site_fract_y
_atom_site_fract_z
Ac1 Ac 0.0000 0.5000 0.0000
Ac2 Ac 0.1657 0.3314 0.6667
In1 In 0.0000 0.0000 0.0000
In2 In 0.3333 0.6667 0.3405
Co1 Co 0.3333 0.6667 0.8294
```

(6)
This entry pairs a crystal structure of P6Pd21Pb2 with its computed powder diffraction line list. Radiation: λ = 1.5418 Å (Cu Kα). Structure: a GGA-PBE-relaxed structure.
Lines closer than 0.1° are merged.

Main lines, in order of falling intensity (5° ≤ 2θ ≤ 70°):
2θ/deg  I/Imax
38.33  100
36.06  43
32.82  42
41.88  38
64.83  34
43.89  28
49.55  20
66.34  14
62.79  14
60.71  7

Structure:
```
data_P6Pd21Pb2
_space_group_name_H-M_alt 'F m -3 m'
_space_group_IT_number 225
_space_group_name_Hall '-F 4 2 3'
_cell_length_a 12.2031
_cell_length_b 12.2031
_cell_length_c 12.2031
_cell_angle_alpha 90.00
_cell_angle_beta 90.00
_cell_angle_gamma 90.00
loop_
_atom_site_label
_atom_site_type_symbol
_atom_site_fract_x
_atom_site_fract_y
_atom_site_fract_z
P1 P 0.0000 0.0000 0.2382
Pd1 Pd 0.0000 0.0000 0.5000
Pd2 Pd 0.0000 0.1716 0.3284
Pd3 Pd 0.1154 0.1154 0.1154
Pb1 Pb 0.2500 0.2500 0.2500
```

(7)
This entry pairs a crystal structure of La3Tc2N7 with its computed powder diffraction line list. Radiation: λ = 1.5418 Å (Cu Kα). Structure: a GGA-PBE-relaxed structure.
Lines closer than 0.1° are merged.

Main lines, in order of falling intensity (5° ≤ 2θ ≤ 70°):
2θ/deg  I/Imax
32.53  100
30.88  96
34.58  76
58.67  38
58.31  34
57.37  34
45.41  30
47.08  27
38.88  23
28.70  20

Structure:
```
data_La3Tc2N7
_space_group_name_H-M_alt 'C m m m'
_space_group_IT_number 65
_space_group_name_Hall '-C 2 2'
_cell_length_a 3.9950
_cell_length_b 21.0104
_cell_length_c 3.8604
_cell_angle_alpha 90.00
_cell_angle_beta 90.00
_cell_angle_gamma 90.00
loop_
_atom_site_label
_atom_site_type_symbol
_atom_site_fract_x
_atom_site_fract_y
_atom_site_fract_z
La1 La 0.0000 0.0000 0.0000
La2 La 0.0000 0.1793 0.0000
Tc1 Tc 0.0000 0.4032 0.5000
N1 N 0.0000 0.0945 0.5000
N2 N 0.0000 0.3053 0.5000
N3 N 0.0000 0.4008 0.0000
N4 N 0.0000 0.5000 0.5000
```